Entry 1:
Calculated powder diffraction line list of Pu6H7S for Cu Kα, 1.54184 Å, from DFT lattice parameters and positions (GGA-PBE).
Intensities are scaled so that the largest is 100.

The 10 most intense peaks (10 to 80 degrees two-theta), low angle first:
2θ = 27.9°, rel. 21; 2θ = 29.2°, rel. 29; 2θ = 31.6°, rel. 100; 2θ = 40.9°, rel. 20; 2θ = 49.4°, rel. 19; 2θ = 53.3°, rel. 24; 2θ = 58.4°, rel. 20; 2θ = 59.8°, rel. 16; 2θ = 65.9°, rel. 5; 2θ = 75.6°, rel. 8

Atomic structure:
```
14
Lattice="3.1978 1.8462 6.1088 -3.1978 1.8462 6.1088 0.0000 -3.6925 6.1088" Properties=species:S:1:pos:R:3 pbc="T T T"
Pu -2.0169 -0.1526 6.1088
Pu -1.1135 -1.6841 9.2147
Pu 1.1406 -1.6704 6.1088
Pu -0.9017 1.8064 9.2147
Pu 0.8763 1.8230 6.1088
Pu 2.0152 -0.1223 9.2147
H -2.2519 0.1333 9.9639
H -1.2741 -1.8281 11.4635
H 0.0000 0.0000 7.6611
H 1.0105 -2.0169 9.9638
H -0.9461 2.0175 11.4635
H 1.2414 1.8836 9.9639
H 2.2203 -0.1894 11.4635
S 0.0000 0.0000 1.5375
```

---

Entry 2:
Calculated powder diffraction line list of Ho2Si4Rh3 for Cu Kα, 1.54184 Å, from DFT lattice parameters and positions (GGA-PBE).
Intensities are scaled so that the largest is 100.

The 10 most intense peaks (10 to 80 degrees two-theta), low angle first:
2θ = 15.0°, rel. 61; 2θ = 29.5°, rel. 100; 2θ = 35.8°, rel. 40; 2θ = 37.8°, rel. 46; 2θ = 38.1°, rel. 78; 2θ = 40.1°, rel. 98; 2θ = 41.2°, rel. 35; 2θ = 42.8°, rel. 24; 2θ = 45.3°, rel. 35; 2θ = 63.7°, rel. 25

Atomic structure:
```
9
Lattice="0.0000 4.7549 5.9138 2.7201 0.0000 5.9138 2.7201 4.7549 0.0000" Properties=species:S:1:pos:R:3 pbc="T T T"
Ho 2.7201 4.7549 1.6018
Ho 2.7201 4.7549 10.2258
Si 2.7201 3.0694 4.0208
Si 2.7201 3.0694 7.8068
Si 2.7201 6.4404 4.0208
Si 2.7201 6.4404 7.8068
Rh 1.3600 2.3775 0.0000
Rh 1.3600 2.3775 5.9138
Rh 2.7201 4.7549 5.9138
```

---

Entry 3:
Calculated powder diffraction line list of NbCr3S8 for Cu Kα, 1.54184 Å, from DFT lattice parameters and positions (GGA-PBE).
Intensities are scaled so that the largest is 100.

The 10 most intense peaks (10 to 80 degrees two-theta), low angle first:
2θ = 15.8°, rel. 74; 2θ = 16.3°, rel. 9; 2θ = 30.7°, rel. 28; 2θ = 31.2°, rel. 14; 2θ = 37.3°, rel. 100; 2θ = 40.3°, rel. 14; 2θ = 53.1°, rel. 33; 2θ = 54.5°, rel. 30; 2θ = 66.7°, rel. 16; 2θ = 79.5°, rel. 9

Atomic structure:
```
12
Lattice="3.4505 1.9921 5.4349 -3.4505 1.9921 5.4349 0.0000 -3.9843 5.4349" Properties=species:S:1:pos:R:3 pbc="T T T"
Nb 0.0000 0.0000 0.0000
Cr -3.4505 0.0000 8.1523
Cr -1.7252 0.9961 2.7174
Cr 1.7252 0.9961 2.7174
S 0.0000 0.0000 3.9973
S -1.7145 -0.9899 9.4472
S 0.0000 -1.9797 6.8575
S -1.7145 0.9899 6.8575
S 1.7145 -0.9899 9.4472
S 0.0000 1.9797 9.4472
S 1.7145 0.9899 6.8575
S 0.0000 0.0000 12.3073
```

---

Entry 4:
Calculated powder diffraction line list of ThTeI3 for Cu Kα, 1.54184 Å, from DFT lattice parameters and positions (GGA-PBE).
Intensities are scaled so that the largest is 100.

The 10 most intense peaks (10 to 80 degrees two-theta), low angle first:
2θ = 10.5°, rel. 65; 2θ = 11.3°, rel. 100; 2θ = 12.0°, rel. 96; 2θ = 24.1°, rel. 53; 2θ = 25.9°, rel. 31; 2θ = 27.9°, rel. 48; 2θ = 28.6°, rel. 93; 2θ = 32.5°, rel. 41; 2θ = 33.9°, rel. 42; 2θ = 35.2°, rel. 50

Atomic structure:
```
20
Lattice="7.9549 0.0000 0.0000 0.0000 8.4296 0.0000 -2.7976 0.0000 15.1912" Properties=species:S:1:pos:R:3 pbc="T T T"
Th 0.3179 1.1351 2.1097
Th -1.0809 7.2945 9.7053
Th 6.2382 1.1351 5.4859
Th 4.8395 7.2945 13.0816
Te 0.4519 3.2556 4.5595
Te -0.9469 5.1740 12.1552
Te 6.1042 3.2556 3.0361
Te 4.7054 5.1740 10.6317
I -0.2547 1.5919 8.2607
I 1.1441 6.8377 0.6651
I -0.3510 0.5637 12.2635
I 1.0478 7.8659 4.6679
I 2.7696 2.4957 1.0994
I 1.3708 5.9339 8.6950
I 3.7865 2.4957 6.4962
I 2.3877 5.9339 14.0918
I 4.1095 0.5637 10.5233
I 5.5083 7.8659 2.9277
I 4.0132 1.5919 14.5261
I 5.4120 6.8377 6.9305
```

---

Q: What is the formula in the fourth record?
A: ThTeI3

---

Copy entry 3 word for word.
Calculated powder diffraction line list of NbCr3S8 for Cu Kα, 1.54184 Å, from DFT lattice parameters and positions (GGA-PBE).
Intensities are scaled so that the largest is 100.

The 10 most intense peaks (10 to 80 degrees two-theta), low angle first:
2θ = 15.8°, rel. 74; 2θ = 16.3°, rel. 9; 2θ = 30.7°, rel. 28; 2θ = 31.2°, rel. 14; 2θ = 37.3°, rel. 100; 2θ = 40.3°, rel. 14; 2θ = 53.1°, rel. 33; 2θ = 54.5°, rel. 30; 2θ = 66.7°, rel. 16; 2θ = 79.5°, rel. 9

Atomic structure:
```
12
Lattice="3.4505 1.9921 5.4349 -3.4505 1.9921 5.4349 0.0000 -3.9843 5.4349" Properties=species:S:1:pos:R:3 pbc="T T T"
Nb 0.0000 0.0000 0.0000
Cr -3.4505 0.0000 8.1523
Cr -1.7252 0.9961 2.7174
Cr 1.7252 0.9961 2.7174
S 0.0000 0.0000 3.9973
S -1.7145 -0.9899 9.4472
S 0.0000 -1.9797 6.8575
S -1.7145 0.9899 6.8575
S 1.7145 -0.9899 9.4472
S 0.0000 1.9797 9.4472
S 1.7145 0.9899 6.8575
S 0.0000 0.0000 12.3073
```